[1]
Diffraction record for Cs4CO4. The powder X-ray diffraction pattern is computed, not measured: it uses a crystal structure in the Materials Project, relaxed with PBE and λ = 1.5418 Å (Cu Kα).
Kinematic intensities with the Lorentz-polarization factor, no thermal factor.

Atomic structure:
```
data_Cs4CO4
_chemical_formula_sum 'Cs8 C2 O8'
_cell_length_a 9.7696
_cell_length_b 9.7696
_cell_length_c 5.9558
_cell_angle_alpha 90.00
_cell_angle_beta 90.00
_cell_angle_gamma 90.00
_symmetry_space_group_name_H-M 'I -4 2 m'
_symmetry_Int_Tables_number 121
_symmetry_space_group_name_Hall 'I -4 2'
loop_
_atom_site_label
_atom_site_fract_x
_atom_site_fract_y
_atom_site_fract_z
_atom_site_occupancy
Cs1 0.1665 0.1665 0.1703 1
C1 0.0000 0.0000 0.5000 1
O1 0.0861 0.0861 0.6368 1
```

Peak list (10 most intense, 5 to 70 degrees two-theta, by intensity)
| 2theta | I/Imax |
| --- | --- |
| 25.28 | 1000 |
| 12.81 | 439 |
| 40.99 | 330 |
| 32.75 | 288 |
| 18.16 | 225 |
| 28.90 | 206 |
| 39.12 | 199 |
| 39.97 | 196 |
| 31.31 | 175 |
| 52.75 | 156 |

[2]
Diffraction record for CsCO2. The powder X-ray diffraction pattern is computed, not measured: it uses a crystal structure in the Materials Project, relaxed with PBE and λ = 1.5418 Å (Cu Kα).
Kinematic intensities with the Lorentz-polarization factor, no thermal factor.

Atomic structure:
```
data_CsCO2
_chemical_formula_sum 'Cs8 C8 O16'
_cell_length_a 6.7232
_cell_length_b 11.1906
_cell_length_c 8.7445
_cell_angle_alpha 90.00
_cell_angle_beta 96.94
_cell_angle_gamma 90.00
_symmetry_space_group_name_H-M 'P 1 21/c 1'
_symmetry_Int_Tables_number 14
loop_
_symmetry_equiv_pos_as_xyz
'x,y,z'
'-x,-y,-z'
'-x,y+1/2,-z+1/2'
'x,-y+1/2,z+1/2'
loop_
_atom_site_label
_atom_site_fract_x
_atom_site_fract_y
_atom_site_fract_z
_atom_site_occupancy
Cs1 0.2146 0.2041 0.0176 1
Cs2 0.2706 0.5875 0.1687 1
C1 0.1905 0.5573 0.7745 1
C2 0.3332 0.6098 0.6670 1
O1 0.0477 0.6243 0.8056 1
O2 0.2268 0.0482 0.3265 1
O3 0.2759 0.6088 0.5231 1
O4 0.4977 0.6525 0.7328 1
```

Peak list (10 most intense, 5 to 70 degrees two-theta, by intensity)
| 2theta | I/Imax |
| --- | --- |
| 27.39 | 1000 |
| 25.99 | 683 |
| 26.71 | 648 |
| 27.02 | 594 |
| 39.46 | 443 |
| 31.95 | 412 |
| 23.06 | 386 |
| 31.84 | 382 |
| 24.41 | 361 |
| 22.40 | 342 |

[3]
Diffraction record for CsPrC2O6. The powder X-ray diffraction pattern is computed, not measured: it uses a crystal structure in the Materials Project, relaxed with PBE and λ = 1.5418 Å (Cu Kα).
Kinematic intensities with the Lorentz-polarization factor, no thermal factor.

Atomic structure:
```
data_CsPrC2O6
_chemical_formula_sum 'Cs4 Pr4 C8 O24'
_cell_length_a 8.7150
_cell_length_b 9.0395
_cell_length_c 9.0430
_cell_angle_alpha 98.94
_cell_angle_beta 114.65
_cell_angle_gamma 96.32
_symmetry_space_group_name_H-M 'P -1'
_symmetry_Int_Tables_number 2
loop_
_symmetry_equiv_pos_as_xyz
'x,y,z'
'-x,-y,-z'
loop_
_atom_site_label
_atom_site_fract_x
_atom_site_fract_y
_atom_site_fract_z
_atom_site_occupancy
Cs1 0.2407 0.0270 0.1901 1
Cs2 0.2453 0.5298 0.0314 1
Pr1 0.2413 0.0408 0.7145 1
Pr2 0.2602 0.5478 0.5220 1
C1 0.0029 0.7122 0.7258 1
C2 0.0299 0.7895 0.2954 1
C3 0.4182 0.2682 0.6044 1
C4 0.4587 0.7583 0.8584 1
O1 0.0434 0.6176 0.6282 1
O2 0.0654 0.9001 0.4249 1
O3 0.0946 0.8473 0.8028 1
O4 0.0986 0.2052 0.8432 1
O5 0.1188 0.6847 0.3045 1
O6 0.1346 0.3360 0.2594 1
O7 0.2772 0.2912 0.6166 1
O8 0.3965 0.8207 0.7279 1
O9 0.4376 0.6107 0.8284 1
O10 0.4617 0.1589 0.9929 1
O11 0.4711 0.1436 0.6341 1
O12 0.4966 0.3740 0.5635 1
```

Peak list (10 most intense, 5 to 70 degrees two-theta, by intensity)
| 2theta | I/Imax |
| --- | --- |
| 26.46 | 1000 |
| 25.75 | 779 |
| 27.57 | 750 |
| 20.28 | 742 |
| 22.89 | 694 |
| 22.25 | 626 |
| 26.14 | 507 |
| 40.56 | 431 |
| 33.69 | 390 |
| 42.05 | 289 |

[4]
Diffraction record for Cs4UC3O11. The powder X-ray diffraction pattern is computed, not measured: it uses a crystal structure in the Materials Project, relaxed with PBE and λ = 1.5418 Å (Cu Kα).
Kinematic intensities with the Lorentz-polarization factor, no thermal factor.

Atomic structure:
```
data_Cs4UC3O11
_chemical_formula_sum 'Cs16 U4 C12 O44'
_cell_length_a 11.7689
_cell_length_b 9.7728
_cell_length_c 13.1792
_cell_angle_alpha 90.00
_cell_angle_beta 93.08
_cell_angle_gamma 90.00
_symmetry_space_group_name_H-M 'C 1 2/c 1'
_symmetry_Int_Tables_number 15
loop_
_symmetry_equiv_pos_as_xyz
'x,y,z'
'-x,-y,-z'
'-x,y,-z+1/2'
'x,-y,z+1/2'
'x+1/2,y+1/2,z'
'-x+1/2,-y+1/2,-z'
'-x+1/2,y+1/2,-z+1/2'
'x+1/2,-y+1/2,z+1/2'
loop_
_atom_site_label
_atom_site_fract_x
_atom_site_fract_y
_atom_site_fract_z
_atom_site_occupancy
Cs1 0.1073 0.1726 0.0384 1
Cs2 0.1853 0.3326 0.3459 1
U1 0.0000 0.3154 0.7500 1
C1 0.0000 0.0172 0.7500 1
C2 0.1165 0.4608 0.5948 1
O1 0.0000 0.1126 0.2500 1
O2 0.0380 0.0906 0.6750 1
O3 0.0594 0.4749 0.1638 1
O4 0.0939 0.3284 0.5884 1
O5 0.1426 0.3155 0.8163 1
O6 0.1885 0.4811 0.0415 1
```

Peak list (10 most intense, 5 to 70 degrees two-theta, by intensity)
| 2theta | I/Imax |
| --- | --- |
| 23.84 | 1000 |
| 24.87 | 849 |
| 25.08 | 830 |
| 31.40 | 787 |
| 30.42 | 435 |
| 38.87 | 404 |
| 34.08 | 373 |
| 40.72 | 354 |
| 17.61 | 347 |
| 18.16 | 323 |

[5]
Diffraction record for Cs2PtC2. The powder X-ray diffraction pattern is computed, not measured: it uses a crystal structure in the Materials Project, relaxed with PBE and λ = 1.5418 Å (Cu Kα).
Kinematic intensities with the Lorentz-polarization factor, no thermal factor.

Atomic structure:
```
data_Cs2PtC2
_chemical_formula_sum 'Cs2 Pt1 C2'
_cell_length_a 5.7572
_cell_length_b 5.7572
_cell_length_c 5.2584
_cell_angle_alpha 90.00
_cell_angle_beta 90.00
_cell_angle_gamma 120.00
_symmetry_space_group_name_H-M 'P -3 m 1'
_symmetry_Int_Tables_number 164
_symmetry_space_group_name_Hall '-P 3 2"'
loop_
_atom_site_label
_atom_site_fract_x
_atom_site_fract_y
_atom_site_fract_z
_atom_site_occupancy
Cs1 0.3333 0.6667 0.2694 1
Pt1 0.0000 0.0000 0.0000 1
C1 0.0000 0.0000 0.3787 1
```

Peak list (10 most intense, 5 to 70 degrees two-theta, by intensity)
| 2theta | I/Imax |
| --- | --- |
| 24.61 | 1000 |
| 31.07 | 721 |
| 38.72 | 370 |
| 40.03 | 280 |
| 51.51 | 272 |
| 60.44 | 202 |
| 50.45 | 173 |
| 55.27 | 138 |
| 35.55 | 94 |
| 17.79 | 91 |

[6]
Diffraction record for CsRbC2. The powder X-ray diffraction pattern is computed, not measured: it uses a crystal structure in the Materials Project, relaxed with PBE and λ = 1.5418 Å (Cu Kα).
Kinematic intensities with the Lorentz-polarization factor, no thermal factor.

Atomic structure:
```
data_CsRbC2
_chemical_formula_sum 'Cs4 Rb4 C8'
_cell_length_a 8.4415
_cell_length_b 6.1236
_cell_length_c 9.5230
_cell_angle_alpha 90.00
_cell_angle_beta 90.00
_cell_angle_gamma 90.00
_symmetry_space_group_name_H-M 'P n m a'
_symmetry_Int_Tables_number 62
loop_
_symmetry_equiv_pos_as_xyz
'x,y,z'
'-x,-y,-z'
'-x+1/2,-y,z+1/2'
'x+1/2,y,-z+1/2'
'x+1/2,-y+1/2,-z+1/2'
'-x+1/2,y+1/2,z+1/2'
'-x,y+1/2,-z'
'x,-y+1/2,z'
loop_
_atom_site_label
_atom_site_fract_x
_atom_site_fract_y
_atom_site_fract_z
_atom_site_occupancy
Cs1 0.0128 0.2500 0.1784 1
Rb1 0.1464 0.2500 0.5898 1
C1 0.2279 0.6462 0.3976 1
```

Peak list (10 most intense, 5 to 70 degrees two-theta, by intensity)
| 2theta | I/Imax |
| --- | --- |
| 25.95 | 1000 |
| 27.32 | 734 |
| 29.17 | 400 |
| 46.50 | 243 |
| 31.75 | 222 |
| 25.63 | 222 |
| 52.52 | 214 |
| 30.08 | 210 |
| 17.22 | 195 |
| 33.20 | 193 |

[7]
Diffraction record for CuC6. The powder X-ray diffraction pattern is computed, not measured: it uses a crystal structure in the Materials Project, relaxed with PBE and λ = 1.5418 Å (Cu Kα).
Kinematic intensities with the Lorentz-polarization factor, no thermal factor.

Atomic structure:
```
data_CuC6
_chemical_formula_sum 'Cu2 C12'
_cell_length_a 5.1406
_cell_length_b 9.6266
_cell_length_c 4.9758
_cell_angle_alpha 90.00
_cell_angle_beta 90.00
_cell_angle_gamma 90.00
_symmetry_space_group_name_H-M 'C m m m'
_symmetry_Int_Tables_number 65
_symmetry_space_group_name_Hall '-C 2 2'
loop_
_atom_site_label
_atom_site_fract_x
_atom_site_fract_y
_atom_site_fract_z
_atom_site_occupancy
Cu1 0.0000 0.0000 0.0000 1
C1 0.0000 0.0000 0.3742 1
C2 0.1302 0.2378 0.0000 1
```

Peak list (10 most intense, 5 to 70 degrees two-theta, by intensity)
| 2theta | I/Imax |
| --- | --- |
| 19.58 | 1000 |
| 17.83 | 693 |
| 26.60 | 304 |
| 32.90 | 203 |
| 37.37 | 168 |
| 41.40 | 151 |
| 39.76 | 142 |
| 36.10 | 136 |
| 41.69 | 126 |
| 18.43 | 117 |